Diffraction record for Sb8O11F2. The powder diffraction line list is theoretical, not measured: it uses DFT lattice parameters and positions (GGA-PBE) and Cu Kα.

Structural model:
a b c (Å): 10.5151 4.2442 18.1702
angles (deg): 90.00 91.01 90.00
Fractional positions:
Sb1 0.0643 0.1873 0.4270
Sb2 0.0643 0.3127 0.9270
Sb3 0.1429 0.0156 0.7550
Sb4 0.1429 0.4844 0.2550
Sb5 0.3354 0.7210 0.5069
Sb6 0.3354 0.7790 0.0069
Sb7 0.3647 0.5516 0.6931
Sb8 0.3647 0.9484 0.1931
Sb9 0.6353 0.0516 0.8069
Sb10 0.6353 0.4484 0.3069
Sb11 0.6646 0.2210 0.9931
Sb12 0.6646 0.2790 0.4931
Sb13 0.8571 0.5156 0.7450
Sb14 0.8571 0.9844 0.2450
Sb15 0.9357 0.6873 0.0730
Sb16 0.9357 0.8127 0.5730
O1 0.0000 0.0000 0.0000
O2 0.0000 0.5000 0.5000
O3 0.1567 0.5038 0.3655
O4 0.1567 0.9962 0.8655
O5 0.2036 0.5353 0.7549
O6 0.2036 0.9647 0.2549
O7 0.2217 0.0884 0.4855
O8 0.2217 0.4116 0.9855
O9 0.2582 0.5912 0.6016
O10 0.2582 0.9088 0.1016
O11 0.3221 0.0389 0.7196
O12 0.3221 0.4611 0.2196
O13 0.6779 0.5389 0.7804
O14 0.6779 0.9611 0.2804
O15 0.7418 0.0912 0.8984
O16 0.7418 0.4088 0.3984
O17 0.7783 0.5884 0.0145
O18 0.7783 0.9116 0.5145
O19 0.7964 0.0353 0.7451
O20 0.7964 0.4647 0.2451
O21 0.8433 0.0038 0.1345
O22 0.8433 0.4962 0.6345
F1 0.4581 0.5173 0.0698
F2 0.4581 0.9827 0.5698
F3 0.5419 0.0173 0.4302
F4 0.5419 0.4827 0.9302

Top 12 peaks for 2θ from 5° to 70°, in order of rising 2θ:
Position (°2θ)	Rel. int.
19.55	80
19.66	86
23.13	39
26.99	82
27.41	100
28.66	29
30.15	37
30.69	35
30.88	44
33.41	29
33.90	29
43.81	41



Diffraction record for Nd6Fe13Hg. The powder diffraction line list is theoretical, not measured: it uses DFT lattice parameters and positions (GGA-PBE) and Cu Kα.

Structural model:
a b c (Å): 12.8275 12.8275 12.8275
angles (deg): 143.22 143.22 52.99
Fractional positions:
Nd1 0.0251 0.5251 0.1756
Nd2 0.1060 0.1060 0.0000
Nd3 0.1505 0.9749 0.5000
Nd4 0.3495 0.8495 0.8244
Nd5 0.3940 0.3940 0.0000
Nd6 0.4749 0.6505 0.5000
Nd7 0.5251 0.3495 0.5000
Nd8 0.6060 0.6060 0.0000
Nd9 0.6505 0.1505 0.1756
Nd10 0.8495 0.0251 0.5000
Nd11 0.8940 0.8940 0.0000
Nd12 0.9749 0.4749 0.8244
Fe1 0.0000 0.5000 0.5000
Fe2 0.0180 0.2903 0.5000
Fe3 0.0667 0.2104 0.2771
Fe4 0.1181 0.6181 0.8560
Fe5 0.2097 0.4820 0.5000
Fe6 0.2104 0.9333 0.1437
Fe7 0.2379 0.7379 0.8560
Fe8 0.2621 0.1181 0.5000
Fe9 0.2896 0.4333 0.7229
Fe10 0.2903 0.7903 0.2723
Fe11 0.3819 0.2379 0.5000
Fe12 0.4333 0.7104 0.1437
Fe13 0.4820 0.9820 0.2723
Fe14 0.5000 0.0000 0.5000
Fe15 0.5180 0.0180 0.7277
Fe16 0.5667 0.2896 0.8563
Fe17 0.6181 0.7621 0.5000
Fe18 0.7097 0.2097 0.7277
Fe19 0.7104 0.5667 0.2771
Fe20 0.7379 0.8819 0.5000
Fe21 0.7621 0.2621 0.1440
Fe22 0.7896 0.0667 0.8563
Fe23 0.7903 0.5180 0.5000
Fe24 0.8819 0.3819 0.1440
Fe25 0.9333 0.7896 0.7229
Fe26 0.9820 0.7097 0.5000
Hg1 0.2500 0.2500 0.0000
Hg2 0.7500 0.7500 0.0000

Top 12 peaks for 2θ from 5° to 70°, in order of rising 2θ:
Position (°2θ)	Rel. int.
27.25	47
31.26	25
31.47	49
32.20	33
35.04	100
35.95	23
38.46	56
39.28	25
42.49	23
43.39	25
46.43	23
58.06	24



Diffraction record for KTaF6. The powder diffraction line list is theoretical, not measured: it uses DFT lattice parameters and positions (GGA-PBE) and Cu Kα.

Structural model:
a b c (Å): 5.3413 5.3413 10.0026
angles (deg): 90.00 90.00 90.00
Fractional positions:
K1 0.0000 0.0000 0.2500
K2 0.0000 0.0000 0.7500
Ta1 0.5000 0.5000 0.0000
Ta2 0.5000 0.5000 0.5000
F1 0.2441 0.2441 0.0000
F2 0.2441 0.7559 0.5000
F3 0.3185 0.3185 0.3648
F4 0.3185 0.3185 0.6352
F5 0.3185 0.6815 0.1352
F6 0.3185 0.6815 0.8648
F7 0.6815 0.3185 0.1352
F8 0.6815 0.3185 0.8648
F9 0.6815 0.6815 0.3648
F10 0.6815 0.6815 0.6352
F11 0.7559 0.2441 0.5000
F12 0.7559 0.7559 0.0000

Top 12 peaks for 2θ from 5° to 70°, in order of rising 2θ:
Position (°2θ)	Rel. int.
16.60	76
17.73	32
23.56	66
24.38	100
29.64	24
35.92	14
41.91	52
43.40	20
48.19	14
49.96	16
53.02	14
66.84	15



Diffraction record for TmHg3. The powder diffraction line list is theoretical, not measured: it uses DFT lattice parameters and positions (GGA-PBE) and Cu Kα.

Structural model:
a b c (Å): 6.5947 6.5947 4.9848
angles (deg): 90.00 90.00 120.00
Fractional positions:
Tm1 0.3333 0.6667 0.2500
Tm2 0.6667 0.3333 0.7500
Hg1 0.1673 0.3346 0.7500
Hg2 0.1673 0.8327 0.7500
Hg3 0.3346 0.1673 0.2500
Hg4 0.6654 0.8327 0.7500
Hg5 0.8327 0.1673 0.2500
Hg6 0.8327 0.6654 0.2500

Top 10 peaks for 2θ from 5° to 70°, in order of rising 2θ:
Position (°2θ)	Rel. int.
23.69	1
31.32	24
36.04	23
36.25	100
48.48	15
55.76	20
64.93	19
65.36	3
68.20	22
68.34	16